Starting from a structure optimized by DFT (PBE), the X-ray diffraction stick pattern of Ba2TlSbO6 was simulated for a wavelength of 1.5418 Å.
Lines closer than 0.1° are merged.

Principal peaks in the range 10 to 90 degrees two-theta, in order of rising 2θ:
| (hkl) | two_theta | I/Imax |
| --- | --- | --- |
| 2 2 0 | 29.60 | 100 |
| 4 0 0 | 42.36 | 28 |
| 4 2 2 | 52.53 | 41 |
| 4 4 0 | 61.46 | 18 |
| 6 2 0 | 69.68 | 18 |
| 6 4 2 | 85.05 | 22 |

Atomic structure:
Unit cell a=8.535 b=8.535 c=8.535 alpha=90.00 beta=90.00 gamma=90.00
Space group Fm-3m (No. 225)
Inequivalent atoms, fractional coordinates:
Ba1 0.250 0.250 0.250 (multiplicity 8)
Tl1 0.000 0.000 0.000 (multiplicity 4)
Sb1 0.000 0.000 0.500 (multiplicity 4)
O1 0.000 0.000 0.264 (multiplicity 24)